# 1
Diffraction record for Sn5Pb3I16. The powder diffractogram is simulated, not measured: it uses the PBE geometry in Alexandria and copper Kα.
Intensities are scaled so that the largest is 100.

Peak list (8 most intense, 10 to 90 degrees two-theta, by angle)
12.53 deg, intensity 30
25.21 deg, intensity 100
28.66 deg, intensity 78
32.94 deg, intensity 25
37.80 deg, intensity 34
38.75 deg, intensity 67
46.79 deg, intensity 18
64.48 deg, intensity 19

Atomic structure:
```
Sn5Pb3I16
1.0
8.052 -4.646 0.000
8.052 4.646 0.000
-0.040 0.000 14.751
Sn Pb I
5 3 16
Direct
0.000 0.000 0.000
0.334 0.833 0.500
0.501 0.501 0.244
0.833 0.334 0.500
0.834 0.834 0.743
0.000 0.502 0.001
0.334 0.334 0.501
0.502 0.000 0.001
0.002 0.002 0.619
0.154 0.676 0.869
0.164 0.164 0.378
0.165 0.165 0.877
0.182 0.663 0.370
0.327 0.838 0.122
0.330 0.330 0.127
0.494 0.999 0.624
0.503 0.503 0.624
0.660 0.660 0.372
0.663 0.182 0.370
0.674 0.674 0.867
0.676 0.154 0.869
0.837 0.837 0.126
0.838 0.327 0.122
0.999 0.494 0.624
```

=====

# 2
Diffraction record for Dy5Sb4I. The powder diffractogram is simulated, not measured: it uses the PBE geometry in Alexandria and copper Kα.
Intensities are scaled so that the largest is 100.

Peak list (8 most intense, 10 to 90 degrees two-theta, by angle)
28.69 deg, intensity 100
28.87 deg, intensity 51
41.02 deg, intensity 36
41.15 deg, intensity 76
50.93 deg, intensity 39
67.32 deg, intensity 31
67.65 deg, intensity 17
74.81 deg, intensity 22

Atomic structure:
```
Dy5Sb4I
1.0
-4.921 4.921 3.093
4.921 -4.921 3.093
4.921 4.921 -3.093
Dy Sb I
5 4 1
Direct
0.000 0.000 0.000
0.181 0.397 0.578
0.397 0.819 0.215
0.603 0.181 0.785
0.819 0.603 0.422
0.107 0.705 0.812
0.295 0.107 0.402
0.705 0.893 0.598
0.893 0.295 0.188
0.500 0.500 0.000
```

=====

# 3
Diffraction record for K2NbV2S6. The powder diffractogram is simulated, not measured: it uses the PBE geometry in Alexandria and copper Kα.
Intensities are scaled so that the largest is 100.

Peak list (8 most intense, 10 to 90 degrees two-theta, by angle)
11.47 deg, intensity 100
20.70 deg, intensity 16
33.63 deg, intensity 68
34.98 deg, intensity 34
40.37 deg, intensity 15
44.22 deg, intensity 21
54.02 deg, intensity 24
65.27 deg, intensity 12

Atomic structure:
```
K2NbV2S6
1.0
2.929 -5.162 0.000
2.929 5.162 0.000
-1.600 0.000 7.718
K Nb V S
2 1 2 6
Direct
0.169 0.831 0.000
0.831 0.169 0.000
0.000 0.000 0.500
0.365 0.635 0.500
0.635 0.365 0.500
0.051 0.400 0.678
0.285 0.285 0.296
0.400 0.051 0.678
0.600 0.949 0.322
0.715 0.715 0.704
0.949 0.600 0.322
```